[1]
This entry pairs a crystal structure of CsPb2I5 with its calculated XRD peak list. Radiation: a wavelength of 1.5418 Å. Structure: a cell relaxed with PBE.

Principal peaks in the range 5° ≤ 2θ ≤ 70°, by angle:
two_theta, d/Å, I (rel.)
10.5, 8.417, 44.6
25.2, 3.533, 17.0
26.9, 3.318, 100.0
27.4, 3.252, 12.2
30.7, 2.909, 55.4
34.4, 2.605, 47.8
43.0, 2.103, 20.4
43.7, 2.073, 20.4
49.0, 1.860, 13.5
53.8, 1.705, 22.9
56.3, 1.634, 15.9
60.8, 1.523, 11.1

Structural model:
```
data_CsPb2I5
_chemical_formula_sum 'Cs4 Pb8 I20'
_symmetry_space_group_name_H-M 'I 4/m c m'
_symmetry_Int_Tables_number 140
_symmetry_space_group_name_Hall '-I 4 2c'
_cell_length_a 9.1988
_cell_length_b 9.1988
_cell_length_c 16.8334
_cell_angle_alpha 90.00
_cell_angle_beta 90.00
_cell_angle_gamma 90.00
loop_
_atom_site_label
_atom_site_type_symbol
_atom_site_fract_x
_atom_site_fract_y
_atom_site_fract_z
Cs1 Cs 0.0000 0.0000 0.2500
Pb1 Pb 0.1666 0.3334 0.0000
I1 I 0.0000 0.0000 0.0000
I2 I 0.1541 0.3459 0.3730
```

***

[2]
This entry pairs a crystal structure of Sr5V2N6 with its calculated XRD peak list. Radiation: a wavelength of 1.5418 Å. Structure: a cell relaxed with PBE.

Principal peaks in the range 5° ≤ 2θ ≤ 70°, by angle:
two_theta, d/Å, I (rel.)
26.5, 3.364, 50.6
27.8, 3.205, 32.4
29.6, 3.022, 53.9
30.2, 2.961, 84.3
31.5, 2.843, 100.0
32.7, 2.740, 96.9
33.7, 2.658, 71.4
34.7, 2.582, 33.7
48.4, 1.879, 32.6
49.1, 1.856, 46.9
52.9, 1.731, 27.3
61.4, 1.511, 24.3

Structural model:
```
data_Sr5V2N6
_chemical_formula_sum 'Sr20 V8 N24'
_symmetry_space_group_name_H-M 'C 1 2/c 1'
_symmetry_Int_Tables_number 15
_cell_length_a 10.4031
_cell_length_b 6.5991
_cell_length_c 13.7277
_cell_angle_alpha 90.00
_cell_angle_beta 101.44
_cell_angle_gamma 90.00
loop_
_symmetry_equiv_pos_as_xyz
'x,y,z'
'-x,-y,-z'
'-x,y,-z+1/2'
'x,-y,z+1/2'
'x+1/2,y+1/2,z'
'-x+1/2,-y+1/2,-z'
'-x+1/2,y+1/2,-z+1/2'
'x+1/2,-y+1/2,z+1/2'
loop_
_atom_site_label
_atom_site_type_symbol
_atom_site_fract_x
_atom_site_fract_y
_atom_site_fract_z
Sr1 Sr 0.0000 0.1184 0.2500
Sr2 Sr 0.0690 0.2408 0.9978
Sr3 Sr 0.1575 0.4129 0.7173
V1 V 0.2244 0.3640 0.4258
N1 N 0.0599 0.4489 0.3716
N2 N 0.1503 0.0485 0.6424
N3 N 0.2271 0.0664 0.4350
```

***

[3]
This entry pairs a crystal structure of CuCl2 with its calculated XRD peak list. Radiation: a wavelength of 1.5418 Å. Structure: a cell relaxed with PBE.

Principal peaks in the range 5° ≤ 2θ ≤ 70°, by angle:
two_theta, d/Å, I (rel.)
19.6, 4.521, 50.1
20.6, 4.318, 100.0
28.6, 3.122, 40.0
39.9, 2.260, 32.1
41.8, 2.159, 13.8
44.8, 2.022, 11.3
45.3, 2.003, 43.0
46.6, 1.948, 10.0
49.8, 1.831, 16.3
57.7, 1.598, 9.7
59.2, 1.561, 17.8
61.9, 1.499, 15.4

Structural model:
```
data_CuCl2
_chemical_formula_sum 'Cu1 Cl2'
_symmetry_space_group_name_H-M 'P 4/m m m'
_symmetry_Int_Tables_number 123
_symmetry_space_group_name_Hall '-P 4 2'
_cell_length_a 4.5206
_cell_length_b 4.5206
_cell_length_c 4.3177
_cell_angle_alpha 90.00
_cell_angle_beta 90.00
_cell_angle_gamma 90.00
loop_
_atom_site_label
_atom_site_type_symbol
_atom_site_fract_x
_atom_site_fract_y
_atom_site_fract_z
Cu1 Cu 0.0000 0.0000 0.0000
Cl1 Cl 0.0000 0.5000 0.0000
```

***

[4]
This entry pairs a crystal structure of Mn2Fe9N8 with its calculated XRD peak list. Radiation: a wavelength of 1.5418 Å. Structure: a cell relaxed with PBE.

Principal peaks in the range 5° ≤ 2θ ≤ 70°, by angle:
two_theta, d/Å, I (rel.)
31.2, 2.867, 46.1
31.5, 2.837, 37.5
33.3, 2.694, 33.9
35.6, 2.523, 26.7
36.5, 2.460, 63.7
38.6, 2.330, 100.0
41.6, 2.171, 32.8
42.0, 2.151, 65.9
43.7, 2.072, 51.9
48.0, 1.896, 99.1
48.1, 1.892, 34.0
53.5, 1.714, 32.6

Structural model:
```
data_Mn2Fe9N8
_chemical_formula_sum 'Mn4 Fe18 N16'
_symmetry_space_group_name_H-M 'C 1 2/m 1'
_symmetry_Int_Tables_number 12
_cell_length_a 17.1627
_cell_length_b 3.7925
_cell_length_c 6.0268
_cell_angle_alpha 90.00
_cell_angle_beta 109.67
_cell_angle_gamma 90.00
loop_
_symmetry_equiv_pos_as_xyz
'x,y,z'
'-x,-y,-z'
'-x,y,-z'
'x,-y,z'
'x+1/2,y+1/2,z'
'-x+1/2,-y+1/2,-z'
'-x+1/2,y+1/2,-z'
'x+1/2,-y+1/2,z'
loop_
_atom_site_label
_atom_site_type_symbol
_atom_site_fract_x
_atom_site_fract_y
_atom_site_fract_z
Mn1 Mn 0.1781 0.0000 0.1413
Fe1 Fe 0.0000 0.5000 0.5000
Fe2 Fe 0.0149 0.0000 0.7834
Fe3 Fe 0.0796 0.5000 0.1763
Fe4 Fe 0.1504 0.5000 0.8099
Fe5 Fe 0.2030 0.0000 0.5941
N1 N 0.0358 0.5000 0.8253
N2 N 0.1049 0.0000 0.2982
N3 N 0.1405 0.0000 0.8149
N4 N 0.2233 0.5000 0.6264
```

***

[5]
This entry pairs a crystal structure of InPb2F7 with its calculated XRD peak list. Radiation: a wavelength of 1.5418 Å. Structure: a cell relaxed with PBE.

Principal peaks in the range 5° ≤ 2θ ≤ 70°, by angle:
two_theta, d/Å, I (rel.)
23.7, 3.760, 16.3
25.3, 3.519, 21.0
26.0, 3.432, 19.3
26.3, 3.389, 100.0
26.9, 3.311, 34.2
27.2, 3.278, 22.1
28.4, 3.138, 17.7
29.9, 2.984, 18.6
31.2, 2.871, 29.3
43.2, 2.094, 20.6
43.9, 2.061, 19.5
47.4, 1.919, 16.4

Structural model:
```
data_InPb2F7
_chemical_formula_sum 'In4 Pb8 F28'
_symmetry_space_group_name_H-M 'P 1 21/c 1'
_symmetry_Int_Tables_number 14
_cell_length_a 5.7416
_cell_length_b 12.5792
_cell_length_c 8.4920
_cell_angle_alpha 90.00
_cell_angle_beta 90.65
_cell_angle_gamma 90.00
loop_
_symmetry_equiv_pos_as_xyz
'x,y,z'
'-x,-y,-z'
'-x,y+1/2,-z+1/2'
'x,-y+1/2,z+1/2'
loop_
_atom_site_label
_atom_site_type_symbol
_atom_site_fract_x
_atom_site_fract_y
_atom_site_fract_z
In1 In 0.2249 0.1261 0.2206
Pb1 Pb 0.2649 0.0596 0.6773
Pb2 Pb 0.2744 0.7136 0.5555
F1 F 0.0201 0.1046 0.4300
F2 F 0.0252 0.2274 0.7159
F3 F 0.1080 0.5746 0.3748
F4 F 0.3030 0.5409 0.7185
F5 F 0.3349 0.1295 0.9806
F6 F 0.4864 0.2417 0.6987
F7 F 0.4892 0.1065 0.4098
```

***

- What is the formula in the fifth record?
  InPb2F7

***

Please write out number 4 again, unchanged.
This entry pairs a crystal structure of Mn2Fe9N8 with its calculated XRD peak list. Radiation: a wavelength of 1.5418 Å. Structure: a cell relaxed with PBE.

Principal peaks in the range 5° ≤ 2θ ≤ 70°, by angle:
two_theta, d/Å, I (rel.)
31.2, 2.867, 46.1
31.5, 2.837, 37.5
33.3, 2.694, 33.9
35.6, 2.523, 26.7
36.5, 2.460, 63.7
38.6, 2.330, 100.0
41.6, 2.171, 32.8
42.0, 2.151, 65.9
43.7, 2.072, 51.9
48.0, 1.896, 99.1
48.1, 1.892, 34.0
53.5, 1.714, 32.6

Structural model:
```
data_Mn2Fe9N8
_chemical_formula_sum 'Mn4 Fe18 N16'
_symmetry_space_group_name_H-M 'C 1 2/m 1'
_symmetry_Int_Tables_number 12
_cell_length_a 17.1627
_cell_length_b 3.7925
_cell_length_c 6.0268
_cell_angle_alpha 90.00
_cell_angle_beta 109.67
_cell_angle_gamma 90.00
loop_
_symmetry_equiv_pos_as_xyz
'x,y,z'
'-x,-y,-z'
'-x,y,-z'
'x,-y,z'
'x+1/2,y+1/2,z'
'-x+1/2,-y+1/2,-z'
'-x+1/2,y+1/2,-z'
'x+1/2,-y+1/2,z'
loop_
_atom_site_label
_atom_site_type_symbol
_atom_site_fract_x
_atom_site_fract_y
_atom_site_fract_z
Mn1 Mn 0.1781 0.0000 0.1413
Fe1 Fe 0.0000 0.5000 0.5000
Fe2 Fe 0.0149 0.0000 0.7834
Fe3 Fe 0.0796 0.5000 0.1763
Fe4 Fe 0.1504 0.5000 0.8099
Fe5 Fe 0.2030 0.0000 0.5941
N1 N 0.0358 0.5000 0.8253
N2 N 0.1049 0.0000 0.2982
N3 N 0.1405 0.0000 0.8149
N4 N 0.2233 0.5000 0.6264
```